[1]
Diffraction record for Sc2VO5. The PXRD pattern is computed, not measured: it uses a DFT-relaxed cell (GGA+U, Alexandria) and Cu Ka.
Intensities are scaled so that the largest is 100.

Peak list (10 most intense, 10° ≤ 2θ ≤ 90°, by angle)
(1 2 1), 26.1 deg, 3.420 Å, rel. 10; (2 1 3), 31.3 deg, 2.859 Å, rel. 100; (1 3 0), 36.1 deg, 2.486 Å, rel. 7; (2 2 4), 40.7 deg, 2.219 Å, rel. 4; (3 1 4), 43.9 deg, 2.061 Å, rel. 5; (4 2 0), 52.0 deg, 1.758 Å, rel. 15; (1 3 6), 52.4 deg, 1.747 Å, rel. 33; (3 4 3), 62.0 deg, 1.498 Å, rel. 15; (2 1 9), 62.6 deg, 1.484 Å, rel. 9; (5 0 9), 85.7 deg, 1.134 Å, rel. 5

Crystal structure
Unit cell a=7.862 b=7.862 c=14.731 alpha=90.00 beta=90.00 gamma=90.00
Space group I-4 (No. 82)
Inequivalent atoms, fractional coordinates:
Sc: 0.000 0.000 0.189
Sc: 0.046 0.295 0.992
Sc: 0.131 0.323 0.326
V: 0.000 0.000 0.500
V: 0.100 0.293 0.666
O: 0.000 0.500 0.076
O: 0.000 0.500 0.250
O: 0.000 0.500 0.612
O: 0.073 0.836 0.570
O: 0.082 0.808 0.278
O: 0.093 0.753 0.747
O: 0.110 0.839 0.093
O: 0.188 0.763 0.924



[2]
Diffraction record for Sc3VO7. The PXRD pattern is computed, not measured: it uses a DFT-relaxed cell (GGA+U, Alexandria) and Cu Ka.
Intensities are scaled so that the largest is 100.

Peak list (10 most intense, 10° ≤ 2θ ≤ 90°, by angle)
(2 2 0), 30.8 deg, 2.907 Å, rel. 100; (0 2 2), 31.4 deg, 2.849 Å, rel. 92; (2 0 2), 35.9 deg, 2.504 Å, rel. 13; (3 3 0), 46.9 deg, 1.938 Å, rel. 12; (4 0 0), 50.8 deg, 1.798 Å, rel. 12; (2 4 2), 52.0 deg, 1.758 Å, rel. 67; (0 0 4), 52.5 deg, 1.744 Å, rel. 21; (4 2 2), 60.9 deg, 1.520 Å, rel. 12; (2 2 4), 62.0 deg, 1.496 Å, rel. 28; (0 6 2), 62.4 deg, 1.489 Å, rel. 14

Crystal structure
Unit cell a=7.191 b=9.879 c=6.977 alpha=90.00 beta=90.00 gamma=90.00
Space group C222_1 (No. 20)
Inequivalent atoms, fractional coordinates:
Sc: 0.057 0.000 0.000
Sc: 0.230 0.270 0.761
V: 0.010 0.500 0.000
O: 0.000 0.126 0.250
O: 0.000 0.146 0.750
O: 0.000 0.430 0.750
O: 0.172 0.370 0.054
O: 0.206 0.374 0.475



[3]
Diffraction record for ScV2O2. The PXRD pattern is computed, not measured: it uses a DFT-relaxed cell (GGA+U, Alexandria) and Cu Ka.
Intensities are scaled so that the largest is 100.

Peak list (10 most intense, 10° ≤ 2θ ≤ 90°, by angle)
(1 1 2), 24.5 deg, 3.627 Å, rel. 19; (1 0 3), 30.6 deg, 2.925 Å, rel. 46; (2 2 0), 31.5 deg, 2.843 Å, rel. 100; (2 1 3), 38.0 deg, 2.365 Å, rel. 17; (4 0 0), 45.1 deg, 2.011 Å, rel. 26; (1 0 5), 49.7 deg, 1.834 Å, rel. 13; (3 2 3), 50.2 deg, 1.818 Å, rel. 34; (3 3 2), 52.0 deg, 1.759 Å, rel. 13; (4 1 3), 55.5 deg, 1.657 Å, rel. 13; (3 2 5), 64.8 deg, 1.439 Å, rel. 14

Crystal structure
Unit cell a=8.043 b=8.043 c=9.419 alpha=90.00 beta=90.00 gamma=90.00
Space group I4_1/amd (No. 141, origin choice 2)
Inequivalent atoms, fractional coordinates:
Sc: 0.000 0.000 0.000
V: 0.000 0.039 0.366
O: 0.000 0.093 0.784



[4]
Diffraction record for ScVO4. The PXRD pattern is computed, not measured: it uses a DFT-relaxed cell (GGA+U, Alexandria) and Cu Ka.
Intensities are scaled so that the largest is 100.

Peak list (10 most intense, 10° ≤ 2θ ≤ 90°, by angle)
(2 0 0), 26.0 deg, 3.432 Å, rel. 100; (2 1 1), 32.5 deg, 2.751 Å, rel. 11; (1 1 2), 34.3 deg, 2.615 Å, rel. 56; (2 0 2), 39.1 deg, 2.302 Å, rel. 12; (3 1 2), 51.4 deg, 1.779 Å, rel. 55; (4 0 0), 53.4 deg, 1.716 Å, rel. 20; (4 2 0), 60.3 deg, 1.535 Å, rel. 9; (3 3 2), 65.0 deg, 1.435 Å, rel. 18; (2 0 4), 66.1 deg, 1.414 Å, rel. 9; (4 2 4), 89.9 deg, 1.091 Å, rel. 9

Crystal structure
Unit cell a=6.863 b=6.863 c=6.207 alpha=90.00 beta=90.00 gamma=90.00
Space group I4_1/amd (No. 141, origin choice 2)
Inequivalent atoms, fractional coordinates:
Sc: 0.000 0.250 0.375
V: 0.000 0.250 0.875
O: 0.000 0.056 0.696



[5]
Diffraction record for Sc2VO6. The PXRD pattern is computed, not measured: it uses a DFT-relaxed cell (GGA+U, Alexandria) and Cu Ka.
Intensities are scaled so that the largest is 100.

Peak list (10 most intense, 10° ≤ 2θ ≤ 90°, by angle)
(1 1 0), 26.5 deg, 3.366 Å, rel. 100; (1 0 3), 34.5 deg, 2.598 Å, rel. 50; (1 1 3), 39.5 deg, 2.281 Å, rel. 20; (2 1 3), 52.1 deg, 1.755 Å, rel. 60; (2 2 0), 54.5 deg, 1.683 Å, rel. 19; (0 0 6), 59.6 deg, 1.550 Å, rel. 8; (3 1 0), 61.6 deg, 1.505 Å, rel. 9; (3 0 3), 66.2 deg, 1.413 Å, rel. 22; (1 1 6), 66.4 deg, 1.408 Å, rel. 11; (2 2 6), 85.1 deg, 1.140 Å, rel. 8

Crystal structure
Unit cell a=4.760 b=4.760 c=9.302 alpha=90.00 beta=90.00 gamma=90.00
Space group P4_2/mnm (No. 136)
Inequivalent atoms, fractional coordinates:
Sc: 0.000 0.000 0.170
V: 0.000 0.000 0.500
O: 0.190 0.190 0.350
O: 0.215 0.215 0.000



[6]
Diffraction record for Sc2V4O9. The PXRD pattern is computed, not measured: it uses a DFT-relaxed cell (GGA+U, Alexandria) and Cu Ka.
Intensities are scaled so that the largest is 100.

Peak list (10 most intense, 10° ≤ 2θ ≤ 90°, by angle)
(1 1 2), 23.3 deg, 3.812 Å, rel. 46; (2 0 4), 32.1 deg, 2.791 Å, rel. 100; (3 1 0), 34.4 deg, 2.608 Å, rel. 76; (3 1 3), 39.4 deg, 2.284 Å, rel. 31; (4 0 -4), 47.7 deg, 1.906 Å, rel. 43; (3 1 6), 52.2 deg, 1.753 Å, rel. 69; (4 2 -4), 60.1 deg, 1.539 Å, rel. 36; (6 0 0), 61.6 deg, 1.506 Å, rel. 40; (2 0 10), 69.4 deg, 1.355 Å, rel. 15; (6 2 6), 84.9 deg, 1.142 Å, rel. 13

Crystal structure
Unit cell a=9.037 b=5.216 c=14.200 alpha=90.00 beta=90.04 gamma=90.00
Space group C2/c (No. 15)
Inequivalent atoms, fractional coordinates:
Sc: 0.000 0.000 0.145
V: 0.167 0.500 0.017
V: 0.167 0.500 0.314
O: 0.000 0.309 0.250
O: 0.016 0.356 0.918
O: 0.155 0.156 0.750
O: 0.170 0.202 0.418
O: 0.186 0.154 0.082



[7]
Diffraction record for Sc3WO8. The PXRD pattern is computed, not measured: it uses a DFT-relaxed cell (GGA+U, Alexandria) and Cu Ka.
Intensities are scaled so that the largest is 100.

Peak list (10 most intense, 10° ≤ 2θ ≤ 90°, by angle)
(1 0 0), 17.6 deg, 5.028 Å, rel. 58; (1 1 0), 25.0 deg, 3.556 Å, rel. 46; (1 1 1), 30.8 deg, 2.903 Å, rel. 100; (2 0 0), 35.7 deg, 2.514 Å, rel. 17; (2 1 0), 40.1 deg, 2.249 Å, rel. 24; (2 1 1), 44.1 deg, 2.053 Å, rel. 21; (2 2 0), 51.4 deg, 1.778 Å, rel. 64; (2 2 1), 54.8 deg, 1.676 Å, rel. 15; (3 1 1), 61.1 deg, 1.516 Å, rel. 40; (3 3 1), 83.9 deg, 1.154 Å, rel. 16

Crystal structure
Unit cell a=5.028 b=5.028 c=5.028 alpha=90.00 beta=90.00 gamma=90.00
Space group Pm-3m (No. 221)
Inequivalent atoms, fractional coordinates:
Sc: 0.000 0.000 0.500
W: 0.500 0.500 0.500
O: 0.260 0.260 0.260



[8]
Diffraction record for Sc3WO7. The PXRD pattern is computed, not measured: it uses a DFT-relaxed cell (GGA+U, Alexandria) and Cu Ka.
Intensities are scaled so that the largest is 100.

Peak list (10 most intense, 10° ≤ 2θ ≤ 90°, by angle)
(1 1 0), 15.0 deg, 5.901 Å, rel. 100; (0 2 0), 17.5 deg, 5.054 Å, rel. 32; (1 3 0), 29.2 deg, 3.057 Å, rel. 22; (1 1 2), 29.3 deg, 3.045 Å, rel. 50; (2 2 0), 30.3 deg, 2.951 Å, rel. 93; (0 2 2), 30.8 deg, 2.907 Å, rel. 88; (2 0 2), 35.3 deg, 2.541 Å, rel. 27; (3 3 0), 46.2 deg, 1.966 Å, rel. 24; (2 4 2), 51.0 deg, 1.792 Å, rel. 63; (0 6 2), 60.9 deg, 1.522 Å, rel. 36

Crystal structure
Unit cell a=7.269 b=10.108 c=7.108 alpha=90.00 beta=90.00 gamma=90.00
Space group C222_1 (No. 20)
Inequivalent atoms, fractional coordinates:
Sc: 0.039 0.000 0.000
Sc: 0.230 0.263 0.756
W: 0.003 0.500 0.000
O: 0.000 0.130 0.250
O: 0.000 0.140 0.750
O: 0.000 0.410 0.750
O: 0.191 0.368 0.042
O: 0.213 0.377 0.468



[9]
Diffraction record for ScW4O12. The PXRD pattern is computed, not measured: it uses a DFT-relaxed cell (GGA+U, Alexandria) and Cu Ka.
Intensities are scaled so that the largest is 100.

Peak list (10 most intense, 10° ≤ 2θ ≤ 90°, by angle)
(0 2 0), 22.8 deg, 3.893 Å, rel. 93; (2 0 0), 23.1 deg, 3.858 Å, rel. 88; (2 0 -2), 23.8 deg, 3.738 Å, rel. 77; (2 2 0), 32.7 deg, 2.740 Å, rel. 65; (0 0 2), 33.2 deg, 2.697 Å, rel. 100; (4 0 -2), 33.6 deg, 2.670 Å, rel. 33; (0 2 2), 40.7 deg, 2.218 Å, rel. 24; (4 2 -2), 41.0 deg, 2.202 Å, rel. 22; (2 4 -2), 53.0 deg, 1.727 Å, rel. 37; (2 2 2), 58.7 deg, 1.574 Å, rel. 30

Crystal structure
Unit cell a=10.686 b=7.785 c=7.477 alpha=90.00 beta=133.77 gamma=90.00
Space group C2/m (No. 12)
Inequivalent atoms, fractional coordinates:
Sc: 0.000 0.000 0.000
W: 0.250 0.250 0.000
W: 0.250 0.250 0.500
O: 0.008 0.257 0.823
O: 0.196 0.209 0.694
O: 0.207 0.000 0.391
O: 0.230 0.000 0.038